Starting from a cell relaxed with PBE+U, the X-ray powder pattern of Ca2FeWO6 was computed for CuKα.
No peak broadening, texture or thermal motion is included.

Peak list (10 most intense, 10° ≤ 2θ ≤ 90°, low angle first)
| 2theta | d (Å) | I (rel.) |
| --- | --- | --- |
| 19.29 | 4.601 | 34.9 |
| 19.63 | 4.522 | 31.9 |
| 22.51 | 3.949 | 69.9 |
| 31.66 | 2.826 | 24.1 |
| 32.03 | 2.795 | 100.0 |
| 32.52 | 2.753 | 22.9 |
| 37.56 | 2.395 | 16.3 |
| 45.83 | 1.980 | 14.6 |
| 46.02 | 1.972 | 26.5 |
| 56.63 | 1.625 | 17.3 |

Atomic structure:
Lattice parameters (Å, degrees): 5.507 5.652 9.636 90.00 124.71 90.00
Fractional coordinates of all 20 atoms:
Ca 0.241 0.056 0.253
Ca 0.241 0.444 0.753
Ca 0.759 0.556 0.247
Ca 0.759 0.944 0.747
Fe 0.500 0.000 0.000
Fe 0.500 0.500 0.500
W 0.000 0.000 0.500
W 0.000 0.500 0.000
O 0.126 0.215 0.943
O 0.126 0.285 0.443
O 0.240 0.693 0.951
O 0.240 0.807 0.451
O 0.335 0.034 0.735
O 0.335 0.466 0.235
O 0.665 0.534 0.765
O 0.665 0.966 0.265
O 0.760 0.193 0.549
O 0.760 0.307 0.049
O 0.874 0.715 0.557
O 0.874 0.785 0.057

Starting from a cell relaxed with PBE+U, the X-ray powder pattern of Ca3Fe2W2O12 was computed for CuKα.
No peak broadening, texture or thermal motion is included.

Peak list (10 most intense, 10° ≤ 2θ ≤ 90°, low angle first)
| 2theta | d (Å) | I (rel.) |
| --- | --- | --- |
| 19.74 | 4.497 | 58.9 |
| 22.77 | 3.905 | 57.8 |
| 22.95 | 3.875 | 26.4 |
| 32.35 | 2.768 | 20.5 |
| 32.55 | 2.751 | 100.0 |
| 38.22 | 2.355 | 13.9 |
| 46.51 | 1.952 | 28.4 |
| 52.49 | 1.743 | 17.6 |
| 57.82 | 1.595 | 16.0 |
| 58.02 | 1.590 | 18.5 |

Atomic structure:
Lattice parameters (Å, degrees): 5.510 5.535 7.749 90.00 90.06 90.00
Fractional coordinates of all 19 atoms:
Ca 0.000 0.000 0.000
Ca 0.024 0.000 0.499
Ca 0.505 0.500 0.501
Fe 0.019 0.500 0.752
Fe 0.515 0.000 0.249
W 0.019 0.500 0.243
W 0.520 0.000 0.757
O 0.095 0.500 0.007
O 0.266 0.254 0.304
O 0.266 0.746 0.304
O 0.275 0.244 0.699
O 0.275 0.756 0.699
O 0.427 0.000 0.994
O 0.600 0.000 0.506
O 0.775 0.236 0.789
O 0.775 0.764 0.789
O 0.790 0.241 0.215
O 0.790 0.759 0.215
O 0.930 0.500 0.496

Starting from a cell relaxed with PBE+U, the X-ray powder pattern of Ca2FeWO6 was computed for CuKα.
No peak broadening, texture or thermal motion is included.

Peak list (10 most intense, 10° ≤ 2θ ≤ 90°, low angle first)
| 2theta | d (Å) | I (rel.) |
| --- | --- | --- |
| 19.41 | 4.573 | 39.4 |
| 22.45 | 3.960 | 51.4 |
| 31.96 | 2.800 | 100.0 |
| 37.66 | 2.388 | 22.3 |
| 45.82 | 1.980 | 36.8 |
| 50.21 | 1.817 | 9.9 |
| 51.60 | 1.771 | 21.6 |
| 56.95 | 1.617 | 38.4 |
| 66.81 | 1.400 | 21.3 |
| 75.98 | 1.252 | 16.3 |

Atomic structure:
Lattice parameters (Å, degrees): 5.601 5.601 5.601 60.00 60.00 60.00
Fractional coordinates of all 10 atoms:
Ca 0.250 0.250 0.250
Ca 0.750 0.750 0.750
Fe 0.000 0.000 0.000
W 0.500 0.500 0.500
O 0.253 0.253 0.747
O 0.253 0.747 0.253
O 0.253 0.747 0.747
O 0.747 0.253 0.253
O 0.747 0.253 0.747
O 0.747 0.747 0.253

Starting from a cell relaxed with PBE+U, the X-ray powder pattern of Ca3Fe4W6O24 was computed for CuKα.
No peak broadening, texture or thermal motion is included.

Peak list (10 most intense, 10° ≤ 2θ ≤ 90°, low angle first)
| 2theta | d (Å) | I (rel.) |
| --- | --- | --- |
| 18.58 | 4.776 | 67.8 |
| 20.58 | 4.316 | 59.7 |
| 21.90 | 4.058 | 48.9 |
| 24.87 | 3.580 | 70.7 |
| 25.28 | 3.523 | 40.5 |
| 26.31 | 3.387 | 67.7 |
| 26.83 | 3.322 | 62.2 |
| 27.09 | 3.292 | 100.0 |
| 32.42 | 2.762 | 39.4 |
| 49.92 | 1.827 | 34.4 |

Atomic structure:
Lattice parameters (Å, degrees): 7.365 8.731 10.590 105.04 106.05 103.57
Fractional coordinates of all 37 atoms:
Ca 0.000 0.000 0.000
Ca 0.292 0.799 0.293
Ca 0.708 0.201 0.707
Fe 0.045 0.716 0.517
Fe 0.376 0.460 0.101
Fe 0.624 0.540 0.899
Fe 0.955 0.284 0.483
W 0.106 0.587 0.826
W 0.218 0.168 0.770
W 0.392 0.241 0.367
W 0.608 0.759 0.633
W 0.782 0.832 0.230
W 0.894 0.413 0.174
O 0.008 0.235 0.674
O 0.070 0.557 0.643
O 0.122 0.524 0.153
O 0.144 0.803 0.915
O 0.173 0.951 0.659
O 0.213 0.217 0.956
O 0.240 0.299 0.464
O 0.246 0.031 0.235
O 0.324 0.534 0.913
O 0.379 0.767 0.512
O 0.440 0.379 0.272
O 0.485 0.279 0.792
O 0.515 0.721 0.208
O 0.560 0.621 0.728
O 0.621 0.233 0.488
O 0.676 0.466 0.087
O 0.754 0.969 0.765
O 0.760 0.701 0.536
O 0.787 0.783 0.044
O 0.827 0.049 0.341
O 0.856 0.197 0.085
O 0.878 0.476 0.847
O 0.930 0.443 0.357
O 0.992 0.765 0.326

Starting from a cell relaxed with PBE+U, the X-ray powder pattern of Ca2FeWO6 was computed for CuKα.
No peak broadening, texture or thermal motion is included.

Peak list (10 most intense, 10° ≤ 2θ ≤ 90°, low angle first)
| 2theta | d (Å) | I (rel.) |
| --- | --- | --- |
| 19.06 | 4.657 | 26.8 |
| 19.39 | 4.577 | 25.0 |
| 22.02 | 4.037 | 48.8 |
| 22.66 | 3.924 | 20.3 |
| 30.91 | 2.893 | 19.8 |
| 31.79 | 2.815 | 100.0 |
| 44.90 | 2.019 | 27.9 |
| 46.28 | 1.962 | 14.4 |
| 56.63 | 1.625 | 22.7 |
| 66.46 | 1.407 | 15.5 |

Atomic structure:
Lattice parameters (Å, degrees): 5.631 5.631 5.631 119.94 91.66 118.16
Fractional coordinates of all 10 atoms:
Ca 0.250 0.000 0.250
Ca 0.750 0.000 0.750
Fe 0.559 0.559 0.000
W 0.065 0.565 0.500
O 0.319 0.050 0.731
O 0.319 0.588 0.269
O 0.325 0.578 0.746
O 0.832 0.578 0.254
O 0.842 0.089 0.247
O 0.842 0.594 0.753

Starting from a cell relaxed with PBE+U, the X-ray powder pattern of Ca2FeWO6 was computed for CuKα.
No peak broadening, texture or thermal motion is included.

Peak list (10 most intense, 10° ≤ 2θ ≤ 90°, low angle first)
| 2theta | d (Å) | I (rel.) |
| --- | --- | --- |
| 19.20 | 4.622 | 22.9 |
| 19.35 | 4.587 | 68.1 |
| 22.17 | 4.010 | 34.2 |
| 22.31 | 3.986 | 33.6 |
| 22.53 | 3.946 | 33.0 |
| 31.52 | 2.838 | 36.2 |
| 31.75 | 2.819 | 68.2 |
| 31.91 | 2.804 | 100.0 |
| 45.23 | 2.005 | 20.4 |
| 45.52 | 1.993 | 19.9 |

Atomic structure:
Lattice parameters (Å, degrees): 5.616 5.630 9.694 89.93 73.93 60.25
Fractional coordinates of all 20 atoms:
Ca 0.000 0.000 0.000
Ca 0.003 0.497 0.500
Ca 0.492 0.753 0.252
Ca 0.495 0.251 0.751
Fe 0.803 0.097 0.366
Fe 0.803 0.599 0.866
W 0.317 0.341 0.114
W 0.319 0.839 0.614
O 0.091 0.368 0.988
O 0.092 0.257 0.275
O 0.094 0.866 0.490
O 0.097 0.757 0.776
O 0.098 0.734 0.186
O 0.102 0.233 0.686
O 0.572 0.938 0.043
O 0.576 0.438 0.542
O 0.579 0.388 0.948
O 0.581 0.302 0.223
O 0.584 0.889 0.449
O 0.585 0.799 0.724